# 1
Calculated PXRD pattern of BeH2O2 for Cu Ka, from the GGA-PBE geometry in Alexandria.
Neutral-atom scattering factors, no anomalous dispersion.

Cell and atoms:
a = 4.8442 Å, b = 4.8457 Å, c = 5.9384 Å
α = 90.00°, β = 90.00°, γ = 90.00°
Space group P2_12_12_1 (No. 19)
Asymmetric unit:
Be1 0.0790 0.1718 0.3749 (multiplicity 4)
H1 0.0036 0.4166 0.6927 (multiplicity 4)
H2 0.1664 0.7471 0.4424 (multiplicity 4)
O1 0.0232 0.8373 0.3518 (multiplicity 4)
O2 0.0864 0.7734 0.8980 (multiplicity 4)

Main lines, by intensity (5 to 70 degrees two-theta):
- 2θ 40.19, I = 1000, hkl 1 1 2
- 2θ 37.11, I = 917, hkl 2 0 0
- 2θ 35.46, I = 571, hkl 0 1 2
- 2θ 23.70, I = 521, hkl 0 1 1
- 2θ 41.69, I = 371, hkl 1 2 0
- 2θ 65.83, I = 244, hkl 3 0 2
- 2θ 30.12, I = 215, hkl 1 1 1
- 2θ 52.27, I = 192, hkl 2 1 2
- 2θ 62.59, I = 174, hkl 0 0 4
- 2θ 53.48, I = 163, hkl 2 2 0

---

# 2
Calculated PXRD pattern of K3PaSn2Te6 for Cu Ka, from the GGA-PBE geometry in Alexandria.
Neutral-atom scattering factors, no anomalous dispersion.

Cell and atoms:
a = 8.0330 Å, b = 13.9116 Å, c = 8.4845 Å
α = 90.00°, β = 108.40°, γ = 90.00°
Space group C2/m (No. 12)
Asymmetric unit:
K1 0.0000 0.0000 0.0000 (multiplicity 2)
K2 0.0000 0.3270 0.0000 (multiplicity 4)
Pa1 0.0000 0.5000 0.5000 (multiplicity 2)
Sn1 0.0000 0.1655 0.5000 (multiplicity 4)
Te1 0.2266 0.3418 0.7056 (multiplicity 8)
Te2 0.2465 0.5000 0.2930 (multiplicity 4)

Main lines, by intensity (5 to 70 degrees two-theta):
- 2θ 26.66, I = 1000, hkl 1 3 1
- 2θ 10.99, I = 441, hkl 0 0 1
- 2θ 38.84, I = 384, hkl 0 6 0
- 2θ 37.26, I = 333, hkl 2 0 2
- 2θ 34.26, I = 202, hkl 2 0 -3
- 2θ 47.73, I = 200, hkl 4 0 0
- 2θ 63.16, I = 161, hkl 4 6 0
- 2θ 47.17, I = 128, hkl 1 3 -4
- 2θ 40.48, I = 121, hkl 3 3 -2
- 2θ 54.91, I = 103, hkl 2 6 2